Diffraction record for Ca5Cu6O12. The X-ray powder pattern is theoretical, not measured: it uses the GGA-PBE geometry in Alexandria and CuKα.
Kinematic intensities with the Lorentz-polarization factor, no thermal factor.

Principal peaks in the range 5° ≤ 2θ ≤ 70°, low angle first:
2θ/deg  I/Imax
16.77  26
27.60  28
32.47  100
33.91  20
35.58  30
43.18  32
43.34  31
55.96  14
56.18  17
59.76  15

Crystal structure
abc: 5.468 6.464 17.026
angles: 90.00 104.80 90.00
Element x y z (fractional)
Ca 0.000 0.243 0.250
Ca 0.000 0.757 0.750
Ca 0.005 0.249 0.452
Ca 0.005 0.751 0.952
Ca 0.010 0.255 0.855
Ca 0.010 0.745 0.355
Ca 0.990 0.255 0.645
Ca 0.990 0.745 0.145
Ca 0.995 0.249 0.048
Ca 0.995 0.751 0.548
Cu 0.494 0.015 0.666
Cu 0.494 0.488 0.082
Cu 0.494 0.512 0.582
Cu 0.494 0.985 0.166
Cu 0.500 0.000 0.000
Cu 0.500 0.000 0.500
Cu 0.500 0.485 0.250
Cu 0.500 0.515 0.750
Cu 0.506 0.015 0.834
Cu 0.506 0.488 0.418
Cu 0.506 0.512 0.918
Cu 0.506 0.985 0.334
O 0.248 0.057 0.564
O 0.248 0.943 0.064
O 0.251 0.453 0.150
O 0.251 0.547 0.650
O 0.252 0.443 0.977
O 0.252 0.557 0.477
O 0.260 0.028 0.732
O 0.260 0.972 0.232
O 0.262 0.040 0.394
O 0.262 0.960 0.894
O 0.266 0.495 0.813
O 0.266 0.505 0.313
O 0.734 0.495 0.687
O 0.734 0.505 0.187
O 0.738 0.040 0.106
O 0.738 0.960 0.606
O 0.740 0.028 0.768
O 0.740 0.972 0.268
O 0.748 0.443 0.523
O 0.748 0.557 0.023
O 0.749 0.453 0.350
O 0.749 0.547 0.850
O 0.752 0.057 0.936
O 0.752 0.943 0.436



Diffraction record for Tb6Ho16Er7. The X-ray powder pattern is theoretical, not measured: it uses the GGA-PBE geometry in Alexandria and CuKα.
Kinematic intensities with the Lorentz-polarization factor, no thermal factor.

Principal peaks in the range 5° ≤ 2θ ≤ 70°, low angle first:
2θ/deg  I/Imax
28.08  7
29.82  19
32.53  100
34.07  7
44.71  10
46.67  13
58.04  23
59.03  6
61.62  9
68.14  6

Crystal structure
abc: 11.009 11.009 11.009
angles: 60.00 60.00 60.00
Element x y z (fractional)
Tb 0.220 0.220 0.780
Tb 0.220 0.780 0.220
Tb 0.220 0.780 0.780
Tb 0.780 0.220 0.220
Tb 0.780 0.220 0.780
Tb 0.780 0.780 0.220
Ho 0.132 0.623 0.623
Ho 0.152 0.152 0.152
Ho 0.152 0.152 0.543
Ho 0.152 0.543 0.152
Ho 0.377 0.377 0.377
Ho 0.377 0.377 0.868
Ho 0.377 0.868 0.377
Ho 0.457 0.848 0.848
Ho 0.543 0.152 0.152
Ho 0.623 0.132 0.623
Ho 0.623 0.623 0.132
Ho 0.623 0.623 0.623
Ho 0.848 0.457 0.848
Ho 0.848 0.848 0.457
Ho 0.848 0.848 0.848
Ho 0.868 0.377 0.377
Er 0.000 0.000 0.500
Er 0.000 0.500 0.000
Er 0.000 0.500 0.500
Er 0.500 0.000 0.000
Er 0.500 0.000 0.500
Er 0.500 0.500 0.000
Er 0.500 0.500 0.500



Diffraction record for Ac3NpTl3Te8. The X-ray powder pattern is theoretical, not measured: it uses the GGA-PBE geometry in Alexandria and CuKα.
Kinematic intensities with the Lorentz-polarization factor, no thermal factor.

Principal peaks in the range 5° ≤ 2θ ≤ 70°, low angle first:
2θ/deg  I/Imax
10.81  10
26.12  100
36.55  39
37.98  39
44.23  10
46.68  20
53.73  13
59.70  16
61.68  17
67.68  12

Crystal structure
abc: 9.847 9.847 9.847
angles: 57.53 57.53 57.53
Element x y z (fractional)
Ac 0.000 0.500 0.500
Ac 0.500 0.000 0.500
Ac 0.500 0.500 0.000
Np 0.000 0.000 0.000
Tl 0.000 0.000 0.500
Tl 0.000 0.500 0.000
Tl 0.500 0.000 0.000
Te 0.227 0.227 0.762
Te 0.227 0.762 0.227
Te 0.238 0.773 0.773
Te 0.257 0.257 0.257
Te 0.743 0.743 0.743
Te 0.762 0.227 0.227
Te 0.773 0.238 0.773
Te 0.773 0.773 0.238



Diffraction record for Tb3NdSm3. The X-ray powder pattern is theoretical, not measured: it uses the GGA-PBE geometry in Alexandria and CuKα.
Kinematic intensities with the Lorentz-polarization factor, no thermal factor.

Principal peaks in the range 5° ≤ 2θ ≤ 70°, low angle first:
2θ/deg  I/Imax
29.35  26
29.96  99
30.96  100
32.67  26
35.02  79
35.90  29
45.62  25
51.03  23
55.06  22
57.72  21

Crystal structure
abc: 6.395 6.395 6.395
angles: 102.97 102.97 102.97
Element x y z (fractional)
Tb 0.065 0.467 0.467
Tb 0.467 0.065 0.467
Tb 0.467 0.467 0.065
Nd 0.611 0.611 0.611
Sm 0.024 0.024 0.664
Sm 0.024 0.664 0.024
Sm 0.664 0.024 0.024